Starting from the PBE geometry in the Materials Project, the powder X-ray diffraction pattern of ErTa5Ag2O15 was computed for Cu Ka.

Top 10 peaks for 10° ≤ 2θ ≤ 90°, by intensity:
two_theta	Rel. int.
32.1	100
29.2	72
27.7	53
31.8	44
56.8	42
25.5	39
34.4	31
22.7	28
46.4	28
30.4	24

Crystal structure
abc: 12.5934 12.5934 3.9163
angles: 90.00 90.00 90.00
Fractional positions:
Er 0.0000 0.0000 0.0000
Er 0.5000 0.5000 0.0000
Ta 0.0000 0.5000 0.5000
Ta 0.0786 0.2108 0.5000
Ta 0.2108 0.9214 0.5000
Ta 0.2892 0.4214 0.5000
Ta 0.4214 0.7108 0.5000
Ta 0.5000 0.0000 0.5000
Ta 0.5786 0.2892 0.5000
Ta 0.7108 0.5786 0.5000
Ta 0.7892 0.0786 0.5000
Ta 0.9214 0.7892 0.5000
Ag 0.1721 0.6721 0.0000
Ag 0.3279 0.1721 0.0000
Ag 0.6721 0.8279 0.0000
Ag 0.8279 0.3279 0.0000
O 0.0000 0.5000 0.0000
O 0.0008 0.6591 0.5000
O 0.0566 0.8704 0.5000
O 0.0797 0.1880 0.0000
O 0.1296 0.0566 0.5000
O 0.1591 0.5008 0.5000
O 0.1880 0.9203 0.0000
O 0.2246 0.2754 0.5000
O 0.2754 0.7754 0.5000
O 0.3120 0.4203 0.0000
O 0.3409 0.0008 0.5000
O 0.3704 0.5566 0.5000
O 0.4203 0.6880 0.0000
O 0.4434 0.3704 0.5000
O 0.4992 0.1591 0.5000
O 0.5000 0.0000 0.0000
O 0.5008 0.8409 0.5000
O 0.5566 0.6296 0.5000
O 0.5797 0.3120 0.0000
O 0.6296 0.4434 0.5000
O 0.6591 0.9992 0.5000
O 0.6880 0.5797 0.0000
O 0.7246 0.2246 0.5000
O 0.7754 0.7246 0.5000
O 0.8120 0.0797 0.0000
O 0.8409 0.4992 0.5000
O 0.8704 0.9434 0.5000
O 0.9203 0.8120 0.0000
O 0.9434 0.1296 0.5000
O 0.9992 0.3409 0.5000

---

Starting from the PBE geometry in the Materials Project, the powder X-ray diffraction pattern of Er2AgOs was computed for Cu Ka.

Top 10 peaks for 10° ≤ 2θ ≤ 90°, by intensity:
two_theta	Rel. int.
36.6	100
65.9	36
52.8	18
89.3	17
77.9	11
22.2	3
43.2	2
57.9	1
82.2	1
70.5	1

Crystal structure
abc: 4.9069 4.9069 4.9069
angles: 60.00 60.00 60.00
Fractional positions:
Er 0.2500 0.2500 0.2500
Er 0.7500 0.7500 0.7500
Ag 0.0000 0.0000 0.0000
Os 0.5000 0.5000 0.5000

---

Starting from the PBE geometry in the Materials Project, the powder X-ray diffraction pattern of ErAgP2Se6 was computed for Cu Ka.

Top 10 peaks for 10° ≤ 2θ ≤ 90°, by intensity:
two_theta	Rel. int.
29.3	100
11.6	73
35.8	57
47.3	33
44.9	28
69.5	15
60.8	15
56.6	15
80.4	14
23.4	14

Crystal structure
abc: 6.6536 6.6536 15.2317
angles: 90.00 90.00 120.00
Fractional positions:
Er 0.0000 0.0000 0.2500
Er 0.0000 0.0000 0.7500
Ag 0.3333 0.6667 0.2500
Ag 0.6667 0.3333 0.7500
P 0.3333 0.6667 0.6753
P 0.3333 0.6667 0.8247
P 0.6667 0.3333 0.1753
P 0.6667 0.3333 0.3247
Se 0.0221 0.3438 0.6316
Se 0.0221 0.6783 0.8684
Se 0.3217 0.3438 0.8684
Se 0.3217 0.9779 0.6316
Se 0.3438 0.0221 0.1316
Se 0.3438 0.3217 0.3684
Se 0.6562 0.6783 0.6316
Se 0.6562 0.9779 0.8684
Se 0.6783 0.0221 0.3684
Se 0.6783 0.6562 0.1316
Se 0.9779 0.3217 0.1316
Se 0.9779 0.6562 0.3684

---

Starting from the PBE geometry in the Materials Project, the powder X-ray diffraction pattern of Er3Ag2Pb4 was computed for Cu Ka.

Top 10 peaks for 10° ≤ 2θ ≤ 90°, by intensity:
two_theta	Rel. int.
31.3	100
35.9	71
36.4	34
48.8	20
61.7	20
23.7	18
41.4	16
65.2	13
31.4	11
62.3	11

Crystal structure
abc: 4.9976 4.9976 22.8579
angles: 90.35 90.35 59.25
Fractional positions:
Er 0.0000 0.0000 0.0000
Er 0.0004 0.0004 0.3237
Er 0.0001 0.0001 0.6661
Er 0.9978 0.9978 0.1846
Er 0.9984 0.9984 0.5103
Er 0.9987 0.9987 0.8412
Ag 0.3333 0.3333 0.2565
Ag 0.3332 0.3332 0.5978
Ag 0.3332 0.3332 0.9324
Ag 0.6650 0.6650 0.2529
Pb 0.3333 0.3333 0.0666
Pb 0.3329 0.3329 0.3927
Pb 0.3338 0.3338 0.7330
Pb 0.6655 0.6655 0.1162
Pb 0.6649 0.6649 0.5921
Pb 0.6653 0.6653 0.7725
Pb 0.6647 0.6647 0.9211
Pb 0.6656 0.6656 0.4428